For NdSm2Er5, a DFT-relaxed cell (PBE, Alexandria) gives the simulated X-ray powder pattern in this record (Cu Kα, 1.54184 Å).

Atomic structure:
```
data_NdSm2Er5
_space_group_name_H-M_alt 'C 1 2/c 1'
_space_group_IT_number 15
_cell_length_a 16.302
_cell_length_b 9.861
_cell_length_c 6.453
_cell_angle_alpha 90.00
_cell_angle_beta 97.51
_cell_angle_gamma 90.00
loop_
_space_group_symop_operation_xyz
'x,y,z'
'-x,-y,-z'
'-x,y,-z+1/2'
'x,-y,z+1/2'
'x+1/2,y+1/2,z'
'-x+1/2,-y+1/2,-z'
'-x+1/2,y+1/2,-z+1/2'
'x+1/2,-y+1/2,z+1/2'
loop_
_atom_site_label
_atom_site_type_symbol
_atom_site_fract_x
_atom_site_fract_y
_atom_site_fract_z
Nd1 Nd 0.250 0.250 0.000
Sm1 Sm 0.076 0.246 0.113
Er1 Er 0.000 0.444 0.750
Er2 Er 0.099 0.090 0.641
Er3 Er 0.195 0.410 0.519
```

Principal peaks in the range 2θ = 10–80°, most intense first:
hkl 1 3 1, 2θ 31.41, I = 1000; hkl 5 1 0, 2θ 29.07, I = 293; hkl 4 2 -1, 2θ 30.54, I = 244; hkl 3 1 -2, 2θ 31.93, I = 230; hkl 0 6 0, 2θ 55.92, I = 168; hkl 4 4 -1, 2θ 44.39, I = 120; hkl 6 2 1, 2θ 42.25, I = 96; hkl 5 1 -1, 2θ 30.69, I = 92; hkl 6 2 0, 2θ 38.07, I = 88; hkl 2 6 2, 2θ 65.55, I = 83